1.
Starting from a DFT-relaxed cell (PBE+U, the Materials Project), the powder diffraction line list of BaPrCo2O6 was simulated for Cu Kα (λ = 1.5418 Å).

Cell and atoms:
```
data_BaPrCo2O6
_chemical_formula_sum 'Ba1 Pr1 Co2 O6'
_symmetry_space_group_name_H-M 'P 4 m m'
_symmetry_Int_Tables_number 99
_cell_length_a 3.9434
_cell_length_b 3.9434
_cell_length_c 7.7322
_cell_angle_alpha 90.00
_cell_angle_beta 90.00
_cell_angle_gamma 90.00
loop_
_symmetry_equiv_pos_as_xyz
'x,y,z'
'-y,x,z'
'-x,-y,z'
'y,-x,z'
'-x,y,z'
'y,x,z'
'x,-y,z'
'-y,-x,z'
loop_
_atom_site_label
_atom_site_type_symbol
_atom_site_fract_x
_atom_site_fract_y
_atom_site_fract_z
Ba1 Ba 0.0000 0.0000 0.0000
Pr1 Pr 0.0000 0.0000 0.4971
Co1 Co 0.5000 0.5000 0.2509
Co2 Co 0.5000 0.5000 0.7468
O1 O 0.0000 0.5000 0.2735
O2 O 0.0000 0.5000 0.7241
O3 O 0.5000 0.5000 0.0123
O4 O 0.5000 0.5000 0.4940
```

Principal peaks in the range 2θ = 10–90°, sorted by position:
2θ/deg  intensity  h k l
22.55  12  1 0 0
32.10  51  1 1 0
32.43  100  1 0 2
39.86  25  1 1 2
46.03  33  2 0 0
47.01  15  0 0 4
57.43  39  2 1 2
58.06  20  1 1 4
67.14  10  2 2 0
67.90  18  2 0 4

2.
Starting from a DFT-relaxed cell (PBE+U, the Materials Project), the powder diffraction line list of Ba2Pr2Co4O11 was simulated for Cu Kα (λ = 1.5418 Å).

Cell and atoms:
```
data_Ba2Pr2Co4O11
_chemical_formula_sum 'Ba4 Pr4 Co8 O22'
_symmetry_space_group_name_H-M 'I 4/m m m'
_symmetry_Int_Tables_number 139
_symmetry_space_group_name_Hall '-I 4 2'
_cell_length_a 5.6601
_cell_length_b 5.6601
_cell_length_c 15.3640
_cell_angle_alpha 90.00
_cell_angle_beta 90.00
_cell_angle_gamma 90.00
loop_
_atom_site_label
_atom_site_type_symbol
_atom_site_fract_x
_atom_site_fract_y
_atom_site_fract_z
Ba1 Ba 0.0000 0.5000 0.2500
Pr1 Pr 0.0000 0.5000 0.0000
Co1 Co 0.0000 0.0000 0.1209
Co2 Co 0.0000 0.0000 0.3748
O1 O 0.0000 0.0000 0.0000
O2 O 0.0000 0.0000 0.2390
O3 O 0.2372 0.2372 0.3951
```

Principal peaks in the range 2θ = 10–90°, sorted by position:
2θ/deg  intensity  h k l
22.21  13  1 1 0
31.61  48  2 0 0
32.30  100  1 1 4
39.55  22  2 0 4
45.32  32  2 2 0
47.33  12  0 0 8
56.74  39  3 1 4
58.04  19  2 0 8
66.02  10  4 0 0
67.61  16  2 2 8

3.
Starting from a DFT-relaxed cell (PBE+U, the Materials Project), the powder diffraction line list of Ba2Pr2Co4O11 was simulated for Cu Kα (λ = 1.5418 Å).

Cell and atoms:
```
data_Ba2Pr2Co4O11
_chemical_formula_sum 'Ba2 Pr2 Co4 O11'
_symmetry_space_group_name_H-M 'P m m m'
_symmetry_Int_Tables_number 47
_cell_length_a 3.9789
_cell_length_b 7.7547
_cell_length_c 7.9598
_cell_angle_alpha 90.00
_cell_angle_beta 90.00
_cell_angle_gamma 90.00
loop_
_symmetry_equiv_pos_as_xyz
'x,y,z'
'-x,-y,-z'
'-x,-y,z'
'x,y,-z'
'x,-y,-z'
'-x,y,z'
'-x,y,-z'
'x,-y,z'
loop_
_atom_site_label
_atom_site_type_symbol
_atom_site_fract_x
_atom_site_fract_y
_atom_site_fract_z
Ba1 Ba 0.0000 0.0000 0.2493
Pr1 Pr 0.0000 0.5000 0.2688
Co1 Co 0.5000 0.2511 0.5000
Co2 Co 0.5000 0.2535 0.0000
O1 O 0.0000 0.2694 0.5000
O2 O 0.0000 0.3057 0.0000
O3 O 0.5000 0.0000 0.0000
O4 O 0.5000 0.0000 0.5000
O5 O 0.5000 0.2916 0.2279
O6 O 0.5000 0.5000 0.5000
```

Principal peaks in the range 2θ = 10–90°, sorted by position:
2θ/deg  intensity  h k l
22.34  12  1 0 0
31.80  47  1 0 2
32.23  100  1 2 0
39.57  21  1 2 2
45.59  30  2 0 0
46.86  13  0 4 0
56.93  37  2 2 2
57.75  20  1 4 2
66.45  9  2 0 4
67.45  15  2 4 0

4.
Starting from a DFT-relaxed cell (PBE+U, the Materials Project), the powder diffraction line list of BaPrCo2O6 was simulated for Cu Kα (λ = 1.5418 Å).

Cell and atoms:
```
data_BaPrCo2O6
_chemical_formula_sum 'Ba1 Pr1 Co2 O6'
_symmetry_space_group_name_H-M 'P 4/m m m'
_symmetry_Int_Tables_number 123
_symmetry_space_group_name_Hall '-P 4 2'
_cell_length_a 3.9857
_cell_length_b 3.9857
_cell_length_c 7.6049
_cell_angle_alpha 90.00
_cell_angle_beta 90.00
_cell_angle_gamma 90.00
loop_
_atom_site_label
_atom_site_type_symbol
_atom_site_fract_x
_atom_site_fract_y
_atom_site_fract_z
Ba1 Ba 0.0000 0.0000 0.0000
Pr1 Pr 0.0000 0.0000 0.5000
Co1 Co 0.5000 0.5000 0.2535
O1 O 0.0000 0.5000 0.2735
O2 O 0.5000 0.5000 0.0000
O3 O 0.5000 0.5000 0.5000
```

Principal peaks in the range 2θ = 10–90°, sorted by position:
2θ/deg  intensity  h k l
22.31  12  1 0 0
31.75  53  1 1 0
32.55  100  1 0 2
39.81  26  1 1 2
45.52  35  2 0 0
47.84  14  0 0 4
57.07  40  2 1 2
58.57  19  1 1 4
66.33  10  2 2 0
68.17  18  2 0 4

5.
Starting from a DFT-relaxed cell (PBE+U, the Materials Project), the powder diffraction line list of BaPrTaCoO6 was simulated for Cu Kα (λ = 1.5418 Å).

Cell and atoms:
```
data_BaPrTaCoO6
_chemical_formula_sum 'Ba2 Pr2 Ta2 Co2 O12'
_symmetry_space_group_name_H-M 'P 1 c 1'
_symmetry_Int_Tables_number 7
_cell_length_a 5.7540
_cell_length_b 5.8288
_cell_length_c 9.9004
_cell_angle_alpha 90.00
_cell_angle_beta 125.36
_cell_angle_gamma 90.00
loop_
_symmetry_equiv_pos_as_xyz
'x,y,z'
'x,-y,z+1/2'
loop_
_atom_site_label
_atom_site_type_symbol
_atom_site_fract_x
_atom_site_fract_y
_atom_site_fract_z
Ba1 Ba 0.0000 0.2389 0.0000
Pr1 Pr 0.5205 0.2994 0.5025
Ta1 Ta 0.2500 0.2419 0.7495
Co1 Co 0.7531 0.2464 0.2516
O1 O 0.1080 0.2411 0.5080
O2 O 0.4506 0.2779 0.9925
O3 O 0.4934 0.0318 0.2962
O4 O 0.5274 0.4851 0.7780
O5 O 0.9260 0.0471 0.7036
O6 O 0.9803 0.4978 0.7155
```

Principal peaks in the range 2θ = 10–90°, sorted by position:
2θ/deg  intensity  h k l
18.78  9  0 1 1
18.95  9  1 0 -2
30.68  19  0 2 0
31.10  100  1 1 -3
44.24  21  2 2 -2
44.91  11  0 0 4
54.81  13  1 3 1
55.26  9  3 1 -1
55.38  17  3 1 -5
64.80  9  4 0 -4